# PAuCl8
Simulated powder XRD pattern, a wavelength of 1.5418 Å. Input: the PBE geometry in the Materials Project.

Largest 6 diffraction maxima, low angle first, 10 to 90 degrees two-theta:
- 17.00°, I = 55
- 17.48°, I = 100
- 18.30°, I = 48
- 19.94°, I = 42
- 25.75°, I = 40
- 30.71°, I = 53

Structural model:
abc: 13.0804 16.0780 12.1568
angles: 90.00 90.00 90.00
Space group Imma (No. 74)
Symmetry-distinct sites (fractional):
P: 0.2500 0.0024 0.2500
Au: 0.0000 0.2500 0.0600
Au: 0.0000 0.2500 0.5759
Cl: 0.0000 0.1057 0.0587
Cl: 0.0000 0.1058 0.5749
Cl: 0.0000 0.2500 0.3844
Cl: 0.0000 0.2500 0.7663
Cl: 0.1557 0.0735 0.3328
Cl: 0.1733 0.0682 0.8524
Cl: 0.1775 0.2500 0.0600

=====

# Rb2PrAuCl6
Simulated powder XRD pattern, a wavelength of 1.5418 Å. Input: the PBE geometry in the Materials Project.

Largest 6 diffraction maxima, low angle first, 10 to 90 degrees two-theta:
- 16.11°, I = 34
- 22.87°, I = 100
- 32.56°, I = 57
- 40.16°, I = 48
- 46.71°, I = 40
- 63.26°, I = 26

Structural model:
abc: 11.0007 11.0007 11.0007
angles: 90.00 90.00 90.00
Space group Fm-3m (No. 225)
Symmetry-distinct sites (fractional):
Rb: 0.2500 0.2500 0.2500
Pr: 0.0000 0.0000 0.0000
Au: 0.0000 0.0000 0.5000
Cl: 0.0000 0.0000 0.2497

=====

# Rb3Au3Cl8
Simulated powder XRD pattern, a wavelength of 1.5418 Å. Input: the PBE geometry in the Materials Project.

Largest 6 diffraction maxima, low angle first, 10 to 90 degrees two-theta:
- 16.03°, I = 80
- 22.41°, I = 56
- 23.07°, I = 53
- 24.31°, I = 72
- 24.73°, I = 64
- 32.38°, I = 100

Structural model:
abc: 12.3279 7.7108 18.7610
angles: 90.00 97.80 90.00
Space group C2/c (No. 15)
Symmetry-distinct sites (fractional):
Rb: 0.0000 0.0158 0.2500
Rb: 0.1825 0.4955 0.5838
Au: 0.0000 0.0000 0.0000
Au: 0.1146 0.4969 0.8088
Cl: 0.0412 0.2871 0.8759
Cl: 0.0628 0.2217 0.4293
Cl: 0.1769 0.0285 0.0638
Cl: 0.2023 0.3000 0.2466

=====

# Rb2SbAuCl6
Simulated powder XRD pattern, a wavelength of 1.5418 Å. Input: the PBE geometry in the Materials Project.

Largest 6 diffraction maxima, low angle first, 10 to 90 degrees two-theta:
- 16.49°, I = 32
- 23.40°, I = 100
- 33.33°, I = 59
- 41.12°, I = 47
- 47.85°, I = 41
- 64.89°, I = 25

Structural model:
abc: 10.7535 10.7535 10.7535
angles: 90.00 90.00 90.00
Space group Fm-3m (No. 225)
Symmetry-distinct sites (fractional):
Rb: 0.2500 0.2500 0.2500
Sb: 0.0000 0.0000 0.0000
Au: 0.0000 0.0000 0.5000
Cl: 0.0000 0.0000 0.2481

=====

# Rb2ScAuCl6
Simulated powder XRD pattern, a wavelength of 1.5418 Å. Input: the PBE geometry in the Materials Project.

Largest 6 diffraction maxima, low angle first, 10 to 90 degrees two-theta:
- 14.60°, I = 29
- 23.95°, I = 100
- 28.16°, I = 28
- 34.12°, I = 68
- 42.12°, I = 46
- 49.03°, I = 45

Structural model:
abc: 10.5109 10.5109 10.5109
angles: 90.00 90.00 90.00
Space group Fm-3m (No. 225)
Symmetry-distinct sites (fractional):
Rb: 0.2500 0.2500 0.2500
Sc: 0.0000 0.0000 0.0000
Au: 0.0000 0.0000 0.5000
Cl: 0.0000 0.0000 0.2385

=====

# Rb2TlAuCl6
Simulated powder XRD pattern, a wavelength of 1.5418 Å. Input: the PBE geometry in the Materials Project.

Largest 6 diffraction maxima, low angle first, 10 to 90 degrees two-theta:
- 16.60°, I = 41
- 23.56°, I = 100
- 33.56°, I = 52
- 41.41°, I = 47
- 48.19°, I = 36
- 65.38°, I = 25

Structural model:
abc: 10.6818 10.6818 10.6818
angles: 90.00 90.00 90.00
Space group Fm-3m (No. 225)
Symmetry-distinct sites (fractional):
Rb: 0.2500 0.2500 0.2500
Tl: 0.0000 0.0000 0.0000
Au: 0.0000 0.0000 0.5000
Cl: 0.0000 0.0000 0.2556

=====

# Rb2TmAuCl6
Simulated powder XRD pattern, a wavelength of 1.5418 Å. Input: the PBE geometry in the Materials Project.

Largest 6 diffraction maxima, low angle first, 10 to 90 degrees two-theta:
- 16.56°, I = 37
- 23.50°, I = 100
- 33.47°, I = 54
- 41.30°, I = 47
- 48.06°, I = 37
- 65.19°, I = 25

Structural model:
abc: 10.7091 10.7091 10.7091
angles: 90.00 90.00 90.00
Space group Fm-3m (No. 225)
Symmetry-distinct sites (fractional):
Rb: 0.2500 0.2500 0.2500
Tm: 0.0000 0.0000 0.0000
Au: 0.0000 0.0000 0.5000
Cl: 0.0000 0.0000 0.2427

=====

# AuSCl5
Simulated powder XRD pattern, a wavelength of 1.5418 Å. Input: the PBE geometry in the Materials Project.

Largest 6 diffraction maxima, low angle first, 10 to 90 degrees two-theta:
- 11.96°, I = 52
- 15.77°, I = 36
- 17.50°, I = 100
- 21.76°, I = 50
- 28.41°, I = 22
- 33.03°, I = 35

Structural model:
abc: 8.1946 8.6460 13.8225
angles: 90.00 115.49 90.00
Space group P2_1/c (No. 14)
Symmetry-distinct sites (fractional):
Au: 0.0901 0.1707 0.1548
S: 0.2377 0.2238 0.0430
Cl: 0.0812 0.6153 0.2525
Cl: 0.1648 0.6632 0.5106
Cl: 0.2424 0.0429 0.5468
Cl: 0.3481 0.1903 0.3129
Cl: 0.4992 0.6682 0.3803

=====

# AuSCl7
Simulated powder XRD pattern, a wavelength of 1.5418 Å. Input: the PBE geometry in the Materials Project.

Largest 6 diffraction maxima, low angle first, 10 to 90 degrees two-theta:
- 11.38°, I = 100
- 15.22°, I = 66
- 20.14°, I = 58
- 21.57°, I = 40
- 22.39°, I = 50
- 33.21°, I = 53

Structural model:
abc: 9.0829 10.4392 12.2107
angles: 90.00 107.55 90.00
Space group P2_1/c (No. 14)
Symmetry-distinct sites (fractional):
Au: 0.2145 0.0936 0.0314
S: 0.2378 0.7071 0.9865
Cl: 0.0522 0.2466 0.4301
Cl: 0.0986 0.6049 0.8546
Cl: 0.1330 0.5403 0.3711
Cl: 0.3001 0.5757 0.1151
Cl: 0.3053 0.2310 0.1856
Cl: 0.3746 0.5662 0.6361
Cl: 0.4314 0.7136 0.9352

=====

# TeAuCl7
Simulated powder XRD pattern, a wavelength of 1.5418 Å. Input: the PBE geometry in the Materials Project.

Largest 6 diffraction maxima, low angle first, 10 to 90 degrees two-theta:
- 13.97°, I = 100
- 19.99°, I = 28
- 21.65°, I = 32
- 23.73°, I = 27
- 24.44°, I = 23
- 32.80°, I = 29

Structural model:
abc: 7.9762 8.3741 9.5300
angles: 101.29 95.17 90.31
Space group P-1 (No. 2)
Symmetry-distinct sites (fractional):
Te: 0.1987 0.2725 0.2329
Au: 0.4264 0.6993 0.4399
Cl: 0.0583 0.6405 0.8652
Cl: 0.0884 0.0149 0.2440
Cl: 0.1439 0.6454 0.4534
Cl: 0.2889 0.2557 0.5742
Cl: 0.2970 0.1812 0.0066
Cl: 0.3924 0.5693 0.2004
Cl: 0.4601 0.8266 0.6806

=====

# Te2AuCl
Simulated powder XRD pattern, a wavelength of 1.5418 Å. Input: the PBE geometry in the Materials Project.

Largest 6 diffraction maxima, low angle first, 10 to 90 degrees two-theta:
- 17.52°, I = 60
- 28.87°, I = 24
- 30.56°, I = 100
- 43.73°, I = 38
- 43.85°, I = 25
- 47.55°, I = 35

Structural model:
abc: 4.1320 12.3723 8.8060
angles: 90.00 90.00 90.00
Space group Cmcm (No. 63)
Symmetry-distinct sites (fractional):
Te: 0.0000 0.1077 0.0504
Au: 0.0000 0.4142 0.7500
Cl: 0.0000 0.3316 0.2500